1.
# LiCu3O3
Computed X-ray diffraction stick pattern, Cu Kα (weighted mean of Kα1 and Kα2). Input: a structure optimized by DFT (GGA-PBE).
Neutral-atom scattering factors, no anomalous dispersion.

Peak list (8 most intense, 2θ = 5–70°, by angle)
hkl 0 0 2, 4.578 Å, I = 19; hkl 1 0 1, 3.638 Å, I = 44; hkl 1 1 0, 2.804 Å, I = 20; hkl 1 1 2, 2.391 Å, I = 100; hkl 0 0 4, 2.289 Å, I = 37; hkl 2 0 0, 1.982 Å, I = 78; hkl 2 0 4, 1.499 Å, I = 34; hkl 2 2 0, 1.402 Å, I = 24

Structural model:
Cell: 3.9649 3.9649 9.1559 Å, 90.00 90.00 90.00°
Space group P4/nmm (No. 129, origin choice 2)
Inequivalent atoms, fractional coordinates:
Li (0.2500, 0.2500, 0.2451) x2
Cu (0.2500, 0.2500, 0.7105) x2
Cu (0.2500, 0.7500, 0.0000) x2
Cu (0.2500, 0.7500, 0.5000) x2
O (0.2500, 0.2500, 0.0123) x2
O (0.2500, 0.7500, 0.2968) x4


2.
# Li3Cu2O4
Computed X-ray diffraction stick pattern, Cu Kα (weighted mean of Kα1 and Kα2). Input: a structure optimized by DFT (GGA-PBE).
Neutral-atom scattering factors, no anomalous dispersion.

Peak list (8 most intense, 2θ = 5–70°, by angle)
hkl 0 2 0, 4.731 Å, I = 42; hkl 1 1 -1, 3.486 Å, I = 100; hkl 1 1 1, 2.703 Å, I = 13; hkl 1 3 1, 2.102 Å, I = 29; hkl 0 2 2, 2.039 Å, I = 12; hkl 2 2 0, 2.031 Å, I = 11; hkl 0 4 2, 1.634 Å, I = 13; hkl 2 4 0, 1.630 Å, I = 13

Structural model:
Cell: 4.6803 9.4622 4.7027 Å, 90.00 106.10 90.00°
Space group C2 (No. 5)
Inequivalent atoms, fractional coordinates:
Li (0.0000, 0.0000, 0.0000) x2
Li (0.0000, 0.0759, 0.5000) x2
Li (0.0000, 0.4974, 0.5000) x2
Cu (0.0000, 0.2858, 0.0000) x2
Cu (0.0000, 0.7793, 0.5000) x2
O (0.2378, 0.1473, 0.2691) x4
O (0.2378, 0.9171, 0.7347) x4


3.
# Li3Cu2O4
Computed X-ray diffraction stick pattern, Cu Kα (weighted mean of Kα1 and Kα2). Input: a structure optimized by DFT (GGA-PBE).
Neutral-atom scattering factors, no anomalous dispersion.

Peak list (8 most intense, 2θ = 5–70°, by angle)
hkl 2 0 -1, 4.855 Å, I = 100; hkl 2 0 0, 4.430 Å, I = 27; hkl 0 0 2, 3.218 Å, I = 79; hkl 2 0 1, 3.047 Å, I = 72; hkl 1 1 -2, 2.211 Å, I = 20; hkl 3 1 -2, 2.036 Å, I = 56; hkl 3 1 0, 2.030 Å, I = 26; hkl 5 1 -1, 1.603 Å, I = 28

Structural model:
Cell: 10.0125 2.7945 7.2733 Å, 90.00 117.75 90.00°
Space group C2/m (No. 12)
Inequivalent atoms, fractional coordinates:
Li (0.0000, 0.0000, 0.0000) x2
Li (0.1385, 0.5000, 0.3719) x4
Cu (0.1586, 0.0000, 0.7692) x4
O (0.0650, 0.5000, 0.8447) x4
O (0.2438, 0.5000, 0.6793) x4